Structure and computed powder X-ray diffraction pattern of YSn3F15 (a PBE-relaxed structure; Cu Ka).
Kinematic intensities with the Lorentz-polarization factor, no thermal factor.

Structural model:
Lattice parameters (Å, degrees): 5.663 10.867 9.924 90.00 95.72 90.00
Fractional coordinates of all 38 atoms:
Y: 0.099 0.250 0.202
Y: 0.901 0.750 0.798
Sn: 0.489 0.566 0.341
Sn: 0.489 0.934 0.341
Sn: 0.500 0.000 0.000
Sn: 0.500 0.500 0.000
Sn: 0.511 0.066 0.659
Sn: 0.511 0.434 0.659
F: 0.073 0.750 0.633
F: 0.194 0.127 0.634
F: 0.194 0.373 0.634
F: 0.203 0.750 0.928
F: 0.228 0.056 0.297
F: 0.228 0.444 0.297
F: 0.243 0.118 0.028
F: 0.243 0.382 0.028
F: 0.341 0.549 0.814
F: 0.341 0.951 0.814
F: 0.368 0.750 0.345
F: 0.369 0.617 0.136
F: 0.369 0.883 0.136
F: 0.377 0.585 0.532
F: 0.377 0.915 0.532
F: 0.623 0.085 0.468
F: 0.623 0.415 0.468
F: 0.631 0.117 0.864
F: 0.631 0.383 0.864
F: 0.632 0.250 0.655
F: 0.659 0.049 0.186
F: 0.659 0.451 0.186
F: 0.757 0.618 0.972
F: 0.757 0.882 0.972
F: 0.772 0.556 0.703
F: 0.772 0.944 0.703
F: 0.797 0.250 0.072
F: 0.806 0.627 0.366
F: 0.806 0.873 0.366
F: 0.927 0.250 0.367

Largest 8 diffraction maxima, in order of rising 2θ, 5 to 70 degrees two-theta:
hkl 1 0 0, d = 5.634 Å, 15.73 deg, intensity 80.9; hkl 0 2 0, d = 5.434 Å, 16.31 deg, intensity 32.7; hkl 1 1 -1, d = 4.630 Å, 19.17 deg, intensity 24.4; hkl 1 1 1, d = 4.311 Å, 20.60 deg, intensity 30.8; hkl 1 2 0, d = 3.911 Å, 22.74 deg, intensity 100.0; hkl 0 3 1, d = 3.401 Å, 26.20 deg, intensity 27.9; hkl 1 0 -3, d = 2.974 Å, 30.05 deg, intensity 24.8; hkl 0 2 3, d = 2.816 Å, 31.78 deg, intensity 31.1